Computed powder XRD pattern of GaSiPd2 for Cu Kα, from a cell relaxed with GGA-PBE.

Structural model:
abc: 3.024 3.024 6.434
angles: 90.00 90.00 90.00
Space group P4/mmm (No. 123)
One atom of each set of equivalent atoms:
Ga 0.000 0.000 0.000 x1
Si 0.000 0.000 0.500 x1
Pd 0.500 0.500 0.268 x2

Main lines, low angle first (2θ from 10° to 90°):
2θ (°)  I/Imax  hkl
27.73  9  0 0 2
29.54  16  1 0 0
32.72  9  1 0 1
40.96  100  1 0 2
42.27  47  1 1 0
51.31  6  1 1 2
57.28  8  0 0 4
61.21  4  1 1 3
61.32  15  2 0 0
73.71  16  1 1 4
76.40  31  2 1 2
88.82  10  2 0 4